Starting from a PBE+U-relaxed structure, the X-ray powder pattern of V2O5 was computed for λ = 1.5418 Å (Cu Kα).
Intensities are scaled so that the largest is 100.

Principal peaks in the range 10 to 90 degrees two-theta, in order of rising 2θ:
2θ 12.0, 7.355 Å, intensity 100
2θ 18.4, 4.833 Å, intensity 14
2θ 26.0, 3.421 Å, intensity 71
2θ 27.5, 3.239 Å, intensity 14
2θ 28.8, 3.095 Å, intensity 34
2θ 29.8, 3.001 Å, intensity 32
2θ 32.3, 2.775 Å, intensity 22
2θ 41.0, 2.200 Å, intensity 19
2θ 50.0, 1.825 Å, intensity 23
2θ 60.6, 1.529 Å, intensity 14

Crystal structure
abc: 8.0633 8.0633 10.3219
angles: 109.98 109.98 26.16
Sites, in units of the cell vectors:
V (0.1178, 0.1178, 0.1127)
V (0.2886, 0.2886, 0.4128)
V (0.3386, 0.3386, 0.1094)
V (0.6614, 0.6614, 0.8906)
V (0.7114, 0.7114, 0.5872)
V (0.8822, 0.8822, 0.8873)
O (0.0000, 0.0000, 0.0000)
O (0.1130, 0.1130, 0.2669)
O (0.1829, 0.1829, 0.9448)
O (0.2442, 0.2442, 0.5741)
O (0.2651, 0.2651, 0.2213)
O (0.3649, 0.3649, 0.9289)
O (0.3967, 0.3967, 0.4760)
O (0.4389, 0.4389, 0.2225)
O (0.5611, 0.5611, 0.7775)
O (0.6033, 0.6033, 0.5240)
O (0.6351, 0.6351, 0.0711)
O (0.7349, 0.7349, 0.7787)
O (0.7558, 0.7558, 0.4259)
O (0.8171, 0.8171, 0.0552)
O (0.8870, 0.8870, 0.7331)